Computed powder diffractogram of RbLaHS for Cu Kα, 1.54184 Å, from a DFT-relaxed cell (GGA-PBE, Alexandria).
Kinematic intensities with the Lorentz-polarization factor, no thermal factor.

Structure:
a b c (Å): 4.1737 4.1768 8.4604
angles (deg): 77.12 76.51 60.08
Atoms (fractional coordinates):
Rb 0.0000 0.0000 0.0000
La 0.4884 0.4677 0.5302
H 0.1758 0.1517 0.4678
S 0.7587 0.7462 0.7215

Principal peaks in the range 15 to 90 degrees two-theta, by angle:
d [Å]  2θ (°)  Rel. int.
4.080  21.78  100
3.487  25.55  63
3.467  25.69  63
3.452  25.81  63
3.144  28.39  88
3.116  28.65  87
3.082  28.97  86
2.088  43.33  85

***

Computed powder diffractogram of LaReH5 for Cu Kα, 1.54184 Å, from a DFT-relaxed cell (GGA-PBE, Alexandria).
Kinematic intensities with the Lorentz-polarization factor, no thermal factor.

Structure:
a b c (Å): 5.3805 7.1088 4.0827
angles (deg): 90.00 90.00 90.00
Atoms (fractional coordinates):
La 0.0000 0.0000 0.0000
La 0.5000 0.5000 0.5000
Re 0.0000 0.5000 0.9804
Re 0.5000 0.0000 0.4804
H 0.0000 0.2992 0.7639
H 0.0000 0.5000 0.4258
H 0.0000 0.7008 0.7639
H 0.1803 0.0000 0.4976
H 0.3197 0.5000 0.9976
H 0.5000 0.0000 0.9258
H 0.5000 0.2008 0.2639
H 0.5000 0.7992 0.2639
H 0.6803 0.5000 0.9976
H 0.8197 0.0000 0.4976

Principal peaks in the range 15 to 90 degrees two-theta, by angle:
d [Å]  2θ (°)  Rel. int.
3.554  25.05  65
3.252  27.42  100
2.690  33.30  31
2.399  37.48  88
2.145  42.13  33
1.560  59.25  24
1.491  62.28  20
1.479  62.84  20

***

Computed powder diffractogram of LaH8Rh2 for Cu Kα, 1.54184 Å, from a DFT-relaxed cell (GGA-PBE, Alexandria).
Kinematic intensities with the Lorentz-polarization factor, no thermal factor.

Structure:
a b c (Å): 6.0633 6.0633 6.0633
angles (deg): 137.19 137.19 62.15
Atoms (fractional coordinates):
La 0.0000 0.0000 0.0000
H 0.1129 0.1129 0.5529
H 0.1129 0.5600 0.0000
H 0.4400 0.4400 0.5529
H 0.4400 0.8871 0.0000
H 0.5600 0.1129 0.0000
H 0.5600 0.5600 0.4471
H 0.8871 0.4400 0.0000
H 0.8871 0.8871 0.4471
Rh 0.2500 0.7500 0.5000
Rh 0.7500 0.2500 0.5000

Principal peaks in the range 15 to 90 degrees two-theta, by angle:
d [Å]  2θ (°)  Rel. int.
4.072  21.83  45
2.727  32.84  17
2.680  33.43  100
2.597  34.54  22
2.213  40.77  27
1.684  54.48  25
1.515  61.19  17
1.351  69.57  23

***

Computed powder diffractogram of LaSmH6Rh2 for Cu Kα, 1.54184 Å, from a DFT-relaxed cell (GGA-PBE, Alexandria).
Kinematic intensities with the Lorentz-polarization factor, no thermal factor.

Structure:
a b c (Å): 6.1605 6.1605 6.5818
angles (deg): 102.92 102.92 101.69
Atoms (fractional coordinates):
La 0.1505 0.8495 0.7500
La 0.8495 0.1505 0.2500
Sm 0.4042 0.5958 0.2500
Sm 0.5958 0.4042 0.7500
H 0.0749 0.5732 0.3856
H 0.1657 0.2136 0.0227
H 0.2136 0.1657 0.5227
H 0.3110 0.5431 0.8772
H 0.4268 0.9251 0.1144
H 0.4569 0.6890 0.6228
H 0.5431 0.3110 0.3772
H 0.5732 0.0749 0.8856
H 0.6890 0.4569 0.1228
H 0.7864 0.8343 0.4773
H 0.8343 0.7864 0.9773
H 0.9251 0.4268 0.6144
Rh 0.0639 0.3229 0.8139
Rh 0.3229 0.0639 0.3139
Rh 0.6771 0.9361 0.6861
Rh 0.9361 0.6771 0.1861

Principal peaks in the range 15 to 90 degrees two-theta, by angle:
d [Å]  2θ (°)  Rel. int.
3.078  29.01  78
2.960  30.20  100
2.914  30.68  43
2.794  32.03  26
2.389  37.66  39
2.374  37.90  90
2.285  39.43  34
1.887  48.24  39

***

Computed powder diffractogram of LaSnH6Rh3 for Cu Kα, 1.54184 Å, from a DFT-relaxed cell (GGA-PBE, Alexandria).
Kinematic intensities with the Lorentz-polarization factor, no thermal factor.

Structure:
a b c (Å): 4.9824 4.9824 4.9824
angles (deg): 96.35 96.35 96.35
Atoms (fractional coordinates):
La 0.0000 0.0000 0.0000
Sn 0.5890 0.5890 0.5890
H 0.1558 0.4848 0.8445
H 0.1558 0.8445 0.4848
H 0.4848 0.1558 0.8445
H 0.4848 0.8445 0.1558
H 0.8445 0.1558 0.4848
H 0.8445 0.4848 0.1558
Rh 0.0550 0.4664 0.4664
Rh 0.4664 0.0550 0.4664
Rh 0.4664 0.4664 0.0550

Principal peaks in the range 15 to 90 degrees two-theta, by angle:
d [Å]  2θ (°)  Rel. int.
3.713  23.97  42
2.962  30.17  75
2.539  35.36  38
2.457  36.58  100
2.316  38.89  33
2.049  44.21  39
1.856  49.07  40
1.638  56.15  29

***

Computed powder diffractogram of LaZnHRh2 for Cu Kα, 1.54184 Å, from a DFT-relaxed cell (GGA-PBE, Alexandria).
Kinematic intensities with the Lorentz-polarization factor, no thermal factor.

Structure:
a b c (Å): 5.9430 5.9430 7.2261
angles (deg): 90.00 90.00 141.07
Atoms (fractional coordinates):
La 0.0653 0.9347 0.7500
La 0.9347 0.0653 0.2500
Zn 0.2102 0.7898 0.2500
Zn 0.7898 0.2102 0.7500
H 0.5000 0.5000 0.0000
H 0.5000 0.5000 0.5000
Rh 0.3441 0.6559 0.5388
Rh 0.3441 0.6559 0.9612
Rh 0.6559 0.3441 0.0388
Rh 0.6559 0.3441 0.4612

Principal peaks in the range 15 to 90 degrees two-theta, by angle:
d [Å]  2θ (°)  Rel. int.
2.717  32.96  38
2.612  34.33  44
2.597  34.54  100
2.544  35.29  56
2.213  40.77  33
2.172  41.58  33
1.980  45.83  32
1.659  55.38  21

***

Computed powder diffractogram of LaZnH8Rh2 for Cu Kα, 1.54184 Å, from a DFT-relaxed cell (GGA-PBE, Alexandria).
Kinematic intensities with the Lorentz-polarization factor, no thermal factor.

Structure:
a b c (Å): 6.3111 6.3111 6.3111
angles (deg): 44.09 44.09 44.09
Atoms (fractional coordinates):
La 0.0000 0.0000 0.0000
Zn 0.5000 0.5000 0.5000
H 0.1131 0.8352 0.4033
H 0.1648 0.5968 0.8869
H 0.3038 0.3038 0.3038
H 0.4032 0.1131 0.8352
H 0.5968 0.8869 0.1648
H 0.6962 0.6962 0.6962
H 0.8352 0.4033 0.1131
H 0.8869 0.1648 0.5968
Rh 0.2028 0.2028 0.2028
Rh 0.7972 0.7972 0.7972

Principal peaks in the range 15 to 90 degrees two-theta, by angle:
d [Å]  2θ (°)  Rel. int.
3.989  22.29  37
2.957  30.23  87
2.624  34.18  56
2.369  37.99  100
1.849  49.29  22
1.820  50.12  33
1.575  58.59  28
1.457  63.88  20

***

Computed powder diffractogram of La4HRu for Cu Kα, 1.54184 Å, from a DFT-relaxed cell (GGA-PBE, Alexandria).
Kinematic intensities with the Lorentz-polarization factor, no thermal factor.

Structure:
a b c (Å): 8.6409 8.6409 6.7946
angles (deg): 104.54 104.54 126.60
Atoms (fractional coordinates):
La 0.0572 0.4420 0.7496
La 0.1781 0.2856 0.2608
La 0.2856 0.1781 0.7608
La 0.4420 0.0572 0.2496
La 0.5580 0.9428 0.7504
La 0.7144 0.8219 0.2392
La 0.8219 0.7144 0.7392
La 0.9428 0.5580 0.2504
H 0.1819 0.8181 0.7500
H 0.8181 0.1819 0.2500
Ru 0.3312 0.6688 0.2500
Ru 0.6688 0.3312 0.7500

Principal peaks in the range 15 to 90 degrees two-theta, by angle:
d [Å]  2θ (°)  Rel. int.
3.220  27.71  34
3.181  28.05  100
2.817  31.77  58
2.737  32.72  90
1.974  45.98  36
1.953  46.51  32
1.941  46.80  16
1.650  55.71  17